Be3Os4: simulated powder diffractogram (a wavelength of 1.5418 Å), based on a crystal structure in Alexandria, relaxed with GGA-PBE.

Principal peaks in the range 15° ≤ 2θ ≤ 90°, low angle first:
| 2θ/deg | I_rel | h k l |
| --- | --- | --- |
| 18.31 | 54.5 | 0 0 1 |
| 23.04 | 25.1 | 1 0 0 |
| 29.59 | 27.0 | 1 0 1 |
| 40.48 | 100.0 | 1 1 0 |
| 44.14 | 91.5 | 1 0 2 |
| 44.77 | 39.6 | 1 1 1 |
| 61.43 | 32.0 | 2 0 2 |
| 73.63 | 17.6 | 3 0 0 |
| 76.18 | 37.5 | 2 1 2 |
| 87.56 | 12.4 | 2 2 0 |

a = 4.4568 Å, b = 4.4568 Å, c = 4.8441 Å
α = 90.00°, β = 90.00°, γ = 120.00°
Space group P6/mmm (No. 191)
One atom of each set of equivalent atoms:
Be  0.0000  0.5000  0.0000 (multiplicity 3)
Os  0.0000  0.0000  0.2502 (multiplicity 2)
Os  0.3333  0.6667  0.5000 (multiplicity 2)